[1]
Calculated XRD peak list of UPbCl6 for Cu Ka, from a DFT-relaxed cell (PBE, Alexandria).
Neutral-atom scattering factors, no anomalous dispersion.

Most intense lines, 2θ from 10° to 90°, in order of falling intensity:
2θ = 20.4°, rel. 100.0; 2θ = 38.4°, rel. 53.9; 2θ = 16.5°, rel. 44.5; 2θ = 42.7°, rel. 31.0; 2θ = 33.3°, rel. 29.6; 2θ = 26.0°, rel. 26.2; 2θ = 45.9°, rel. 22.2; 2θ = 14.9°, rel. 18.9

Lattice parameters (Å, degrees): 6.848 6.848 12.866 90.00 90.00 120.00
Fractional positions:
U: 0.000 0.000 0.000
U: 0.000 0.000 0.500
Pb: 0.333 0.667 0.250
Pb: 0.667 0.333 0.750
Cl: 0.008 0.317 0.619
Cl: 0.008 0.691 0.881
Cl: 0.309 0.317 0.881
Cl: 0.309 0.992 0.619
Cl: 0.317 0.008 0.119
Cl: 0.317 0.309 0.381
Cl: 0.683 0.691 0.619
Cl: 0.683 0.992 0.881
Cl: 0.691 0.008 0.381
Cl: 0.691 0.683 0.119
Cl: 0.992 0.309 0.119
Cl: 0.992 0.683 0.381

***

[2]
Calculated XRD peak list of YPbCl5 for Cu Ka, from a DFT-relaxed cell (PBE, Alexandria).
Neutral-atom scattering factors, no anomalous dispersion.

Most intense lines, 2θ from 10° to 90°, in order of falling intensity:
2θ = 12.9°, rel. 100.0; 2θ = 18.5°, rel. 83.3; 2θ = 20.3°, rel. 66.1; 2θ = 28.0°, rel. 56.4; 2θ = 33.0°, rel. 41.4; 2θ = 28.2°, rel. 35.4; 2θ = 19.2°, rel. 29.1; 2θ = 40.6°, rel. 27.7

Lattice parameters (Å, degrees): 7.252 7.252 10.366 108.27 108.27 90.16
Fractional positions:
Y: 0.000 0.500 0.000
Y: 0.500 0.000 0.500
Pb: 0.087 0.913 0.750
Pb: 0.913 0.087 0.250
Cl: 0.194 0.609 0.855
Cl: 0.220 0.224 0.527
Cl: 0.224 0.220 0.027
Cl: 0.232 0.768 0.250
Cl: 0.391 0.806 0.645
Cl: 0.609 0.194 0.355
Cl: 0.768 0.232 0.750
Cl: 0.776 0.780 0.973
Cl: 0.780 0.776 0.473
Cl: 0.806 0.391 0.145

***

[3]
Calculated XRD peak list of ZnPbCl4 for Cu Ka, from a DFT-relaxed cell (PBE, Alexandria).
Neutral-atom scattering factors, no anomalous dispersion.

Most intense lines, 2θ from 10° to 90°, in order of falling intensity:
2θ = 19.0°, rel. 100.0; 2θ = 37.6°, rel. 74.1; 2θ = 25.6°, rel. 59.2; 2θ = 14.4°, rel. 33.8; 2θ = 46.9°, rel. 28.6; 2θ = 30.7°, rel. 23.6; 2θ = 38.6°, rel. 21.5; 2θ = 36.4°, rel. 17.0

Lattice parameters (Å, degrees): 7.765 7.765 7.765 106.14 106.14 116.37
Fractional positions:
Zn: 0.375 0.625 0.750
Zn: 0.625 0.375 0.250
Pb: 0.125 0.875 0.250
Pb: 0.875 0.125 0.750
Cl: 0.189 0.256 0.567
Cl: 0.189 0.623 0.933
Cl: 0.256 0.189 0.067
Cl: 0.377 0.811 0.567
Cl: 0.623 0.189 0.433
Cl: 0.744 0.811 0.933
Cl: 0.811 0.377 0.067
Cl: 0.811 0.744 0.433

***

[4]
Calculated XRD peak list of Pm3PdCl3 for Cu Ka, from a DFT-relaxed cell (PBE, Alexandria).
Neutral-atom scattering factors, no anomalous dispersion.

Most intense lines, 2θ from 10° to 90°, in order of falling intensity:
2θ = 30.4°, rel. 100.0; 2θ = 10.7°, rel. 83.1; 2θ = 43.6°, rel. 71.2; 2θ = 71.9°, rel. 29.2; 2θ = 54.1°, rel. 24.2; 2θ = 80.0°, rel. 21.3; 2θ = 26.3°, rel. 20.8; 2θ = 39.1°, rel. 19.7

Lattice parameters (Å, degrees): 10.173 10.173 10.173 109.47 109.47 109.47
Fractional positions:
Pm: 0.009 0.018 0.259
Pm: 0.009 0.491 0.750
Pm: 0.018 0.259 0.009
Pm: 0.241 0.259 0.750
Pm: 0.241 0.482 0.491
Pm: 0.259 0.009 0.018
Pm: 0.259 0.750 0.241
Pm: 0.482 0.491 0.241
Pm: 0.491 0.241 0.482
Pm: 0.491 0.750 0.009
Pm: 0.750 0.009 0.491
Pm: 0.750 0.241 0.259
Pd: 0.000 0.250 0.500
Pd: 0.250 0.250 0.250
Pd: 0.250 0.500 0.000
Pd: 0.500 0.000 0.250
Cl: 0.250 0.751 0.749
Cl: 0.250 0.999 0.501
Cl: 0.501 0.250 0.999
Cl: 0.501 0.751 0.503
Cl: 0.503 0.501 0.751
Cl: 0.749 0.250 0.751
Cl: 0.749 0.999 0.997
Cl: 0.751 0.503 0.501
Cl: 0.751 0.749 0.250
Cl: 0.997 0.749 0.999
Cl: 0.999 0.501 0.250
Cl: 0.999 0.997 0.749

***

[5]
Calculated XRD peak list of Pm3TePdCl for Cu Ka, from a DFT-relaxed cell (PBE, Alexandria).
Neutral-atom scattering factors, no anomalous dispersion.

Most intense lines, 2θ from 10° to 90°, in order of falling intensity:
2θ = 28.5°, rel. 100.0; 2θ = 35.0°, rel. 84.1; 2θ = 34.5°, rel. 74.4; 2θ = 36.6°, rel. 69.0; 2θ = 27.2°, rel. 57.2; 2θ = 31.8°, rel. 55.8; 2θ = 44.5°, rel. 49.8; 2θ = 24.0°, rel. 43.3

Lattice parameters (Å, degrees): 7.483 4.070 11.311 90.00 101.24 90.00
Fractional positions:
Pm: 0.034 0.250 0.144
Pm: 0.288 0.250 0.509
Pm: 0.455 0.750 0.844
Pm: 0.545 0.250 0.156
Pm: 0.712 0.750 0.491
Pm: 0.966 0.750 0.856
Te: 0.333 0.750 0.308
Te: 0.667 0.250 0.692
Pd: 0.241 0.250 0.947
Pd: 0.759 0.750 0.053
Cl: 0.105 0.750 0.624
Cl: 0.895 0.250 0.376

***

[6]
Calculated XRD peak list of Pr3PdPtCl for Cu Ka, from a DFT-relaxed cell (PBE, Alexandria).
Neutral-atom scattering factors, no anomalous dispersion.

Most intense lines, 2θ from 10° to 90°, in order of falling intensity:
2θ = 31.0°, rel. 100.0; 2θ = 30.6°, rel. 78.9; 2θ = 28.2°, rel. 77.2; 2θ = 34.8°, rel. 48.2; 2θ = 44.5°, rel. 45.7; 2θ = 42.6°, rel. 43.6; 2θ = 51.9°, rel. 41.1; 2θ = 37.9°, rel. 33.1

Lattice parameters (Å, degrees): 8.169 4.242 9.838 90.00 105.53 90.00
Fractional positions:
Pr: 0.071 0.250 0.342
Pr: 0.201 0.250 0.983
Pr: 0.423 0.750 0.631
Pr: 0.577 0.250 0.369
Pr: 0.799 0.750 0.017
Pr: 0.929 0.750 0.658
Pd: 0.279 0.750 0.258
Pd: 0.721 0.250 0.742
Pt: 0.178 0.250 0.651
Pt: 0.822 0.750 0.349
Cl: 0.394 0.750 0.907
Cl: 0.606 0.250 0.093

***

[7]
Calculated XRD peak list of Pd3PtCl9 for Cu Ka, from a DFT-relaxed cell (PBE, Alexandria).
Neutral-atom scattering factors, no anomalous dispersion.

Most intense lines, 2θ from 10° to 90°, in order of falling intensity:
2θ = 18.1°, rel. 100.0; 2θ = 18.2°, rel. 55.2; 2θ = 13.9°, rel. 51.9; 2θ = 21.3°, rel. 32.9; 2θ = 25.9°, rel. 20.7; 2θ = 37.4°, rel. 20.5; 2θ = 39.4°, rel. 18.4; 2θ = 27.0°, rel. 17.9

Lattice parameters (Å, degrees): 10.533 10.533 12.753 126.54 126.54 40.79
Fractional positions:
Pd: 0.062 0.938 0.500
Pd: 0.261 0.477 0.532
Pd: 0.477 0.261 0.032
Pd: 0.620 0.866 0.001
Pd: 0.866 0.620 0.501
Pd: 0.938 0.062 0.000
Pt: 0.282 0.858 0.255
Pt: 0.858 0.282 0.755
Cl: 0.031 0.429 0.335
Cl: 0.192 0.407 0.626
Cl: 0.242 0.948 0.457
Cl: 0.285 0.586 0.436
Cl: 0.292 0.831 0.063
Cl: 0.407 0.192 0.126
Cl: 0.429 0.031 0.835
Cl: 0.476 0.525 0.734
Cl: 0.525 0.476 0.234
Cl: 0.555 0.863 0.386
Cl: 0.586 0.285 0.936
Cl: 0.746 0.797 0.681
Cl: 0.797 0.746 0.181
Cl: 0.831 0.292 0.563
Cl: 0.863 0.555 0.886
Cl: 0.912 0.975 0.609
Cl: 0.948 0.242 0.957
Cl: 0.975 0.912 0.109

***

[8]
Calculated XRD peak list of Rb2PuPdCl6 for Cu Ka, from a DFT-relaxed cell (PBE, Alexandria).
Neutral-atom scattering factors, no anomalous dispersion.

Most intense lines, 2θ from 10° to 90°, in order of falling intensity:
2θ = 23.6°, rel. 100.0; 2θ = 33.6°, rel. 56.1; 2θ = 41.5°, rel. 46.9; 2θ = 48.3°, rel. 38.7; 2θ = 16.6°, rel. 34.9; 2θ = 65.5°, rel. 25.0; 2θ = 54.4°, rel. 21.6; 2θ = 37.7°, rel. 17.7

Lattice parameters (Å, degrees): 7.540 10.652 7.539 90.00 90.00 90.00
Fractional positions:
Rb: 0.250 0.000 0.250
Rb: 0.250 0.500 0.250
Rb: 0.750 0.000 0.750
Rb: 0.750 0.500 0.750
Pu: 0.250 0.250 0.749
Pu: 0.750 0.750 0.251
Pd: 0.250 0.750 0.750
Pd: 0.750 0.250 0.250
Cl: 0.001 0.750 0.000
Cl: 0.001 0.750 0.502
Cl: 0.250 0.501 0.750
Cl: 0.250 0.999 0.750
Cl: 0.499 0.750 0.000
Cl: 0.499 0.750 0.502
Cl: 0.501 0.250 0.000
Cl: 0.501 0.250 0.498
Cl: 0.750 0.001 0.250
Cl: 0.750 0.499 0.250
Cl: 0.999 0.250 0.000
Cl: 0.999 0.250 0.498

***

[9]
Calculated XRD peak list of Rb3PdCl6 for Cu Ka, from a DFT-relaxed cell (PBE, Alexandria).
Neutral-atom scattering factors, no anomalous dispersion.

Most intense lines, 2θ from 10° to 90°, in order of falling intensity:
2θ = 23.0°, rel. 100.0; 2θ = 32.2°, rel. 73.5; 2θ = 22.6°, rel. 50.9; 2θ = 46.9°, rel. 43.9; 2θ = 39.9°, rel. 42.9; 2θ = 33.2°, rel. 32.7; 2θ = 46.2°, rel. 23.8; 2θ = 28.1°, rel. 22.3

Lattice parameters (Å, degrees): 7.746 7.746 7.746 119.04 119.04 91.67
Fractional positions:
Rb: 0.000 0.000 0.000
Rb: 0.250 0.750 0.500
Rb: 0.750 0.250 0.500
Pd: 0.500 0.500 0.000
Cl: 0.277 0.277 0.554
Cl: 0.277 0.723 0.000
Cl: 0.284 0.284 0.000
Cl: 0.716 0.716 0.000
Cl: 0.723 0.277 0.000
Cl: 0.723 0.723 0.446